1.
The following is a theoretical powder X-ray diffraction pattern of Ti3Te. It was derived from a DFT-relaxed cell (GGA-PBE, the Materials Project), using Cu Kα, 1.54184 Å.
Peak positions follow from Bragg's law for the DFT cell and can differ from measured ones.

Peak list (10 most intense, 15° ≤ 2θ ≤ 90°, in order of rising 2θ)
d (Å)	I_rel
3.483	31
2.910	12
2.520	24
2.409	28
2.233	100
1.741	15
1.455	16
1.354	18
1.245	18
1.219	13

Crystal structure
```
data_Ti3Te
_symmetry_space_group_name_H-M 'P 1'
_symmetry_Int_Tables_number 1
_symmetry_space_group_name_Hall 'P 1'
_cell_length_a 5.819
_cell_length_b 5.819
_cell_length_c 4.819
_cell_angle_alpha 90.00
_cell_angle_beta 90.00
_cell_angle_gamma 120.00
loop_
_atom_site_label
_atom_site_fract_x
_atom_site_fract_y
_atom_site_fract_z
_atom_site_occupancy
Ti1 0.161 0.322 0.250 1
Ti2 0.161 0.839 0.250 1
Ti3 0.322 0.161 0.750 1
Ti4 0.678 0.839 0.250 1
Ti5 0.839 0.161 0.750 1
Ti6 0.839 0.678 0.750 1
Te1 0.333 0.667 0.750 1
Te2 0.667 0.333 0.250 1
```

=====

2.
The following is a theoretical powder X-ray diffraction pattern of TiTe. It was derived from a DFT-relaxed cell (GGA-PBE, the Materials Project), using Cu Kα, 1.54184 Å.
Peak positions follow from Bragg's law for the DFT cell and can differ from measured ones.

Peak list (10 most intense, 15° ≤ 2θ ≤ 90°, in order of rising 2θ)
d (Å)	I_rel
3.651	15
2.915	100
2.398	60
1.933	30
1.835	32
1.826	11
1.553	15
1.457	12
1.294	19
1.186	12

Crystal structure
```
data_TiTe
_symmetry_space_group_name_H-M 'P 1'
_symmetry_Int_Tables_number 1
_symmetry_space_group_name_Hall 'P 1'
_cell_length_a 3.671
_cell_length_b 3.671
_cell_length_c 7.302
_cell_angle_alpha 90.00
_cell_angle_beta 90.00
_cell_angle_gamma 120.00
loop_
_atom_site_label
_atom_site_fract_x
_atom_site_fract_y
_atom_site_fract_z
_atom_site_occupancy
Ti1 0.000 0.000 0.000 1
Ti2 0.000 0.000 0.500 1
Te1 0.333 0.667 0.250 1
Te2 0.667 0.333 0.750 1
```

=====

3.
The following is a theoretical powder X-ray diffraction pattern of Ti5Te8. It was derived from a DFT-relaxed cell (GGA-PBE, the Materials Project), using Cu Kα, 1.54184 Å.
Peak positions follow from Bragg's law for the DFT cell and can differ from measured ones.

Peak list (10 most intense, 15° ≤ 2θ ≤ 90°, in order of rising 2θ)
d (Å)	I_rel
3.191	20
3.012	33
2.997	100
2.969	13
2.336	27
2.305	11
1.971	14
1.955	27
1.810	15
1.676	13

Crystal structure
```
data_Ti5Te8
_symmetry_space_group_name_H-M 'P 1'
_symmetry_Int_Tables_number 1
_symmetry_space_group_name_Hall 'P 1'
_cell_length_a 7.502
_cell_length_b 7.502
_cell_length_c 9.233
_cell_angle_alpha 125.46
_cell_angle_beta 125.46
_cell_angle_gamma 63.38
loop_
_atom_site_label
_atom_site_fract_x
_atom_site_fract_y
_atom_site_fract_z
_atom_site_occupancy
Ti1 0.000 0.000 0.000 1
Ti2 0.258 0.258 0.026 1
Ti3 0.286 0.714 0.500 1
Ti4 0.714 0.286 0.500 1
Ti5 0.742 0.742 0.974 1
Te1 0.033 0.033 0.334 1
Te2 0.051 0.539 0.827 1
Te3 0.445 0.445 0.673 1
Te4 0.461 0.949 0.173 1
Te5 0.539 0.051 0.827 1
Te6 0.555 0.555 0.327 1
Te7 0.949 0.461 0.173 1
Te8 0.967 0.967 0.666 1
```

=====

Repeat the second record exactly.
The following is a theoretical powder X-ray diffraction pattern of TiTe. It was derived from a DFT-relaxed cell (GGA-PBE, the Materials Project), using Cu Kα, 1.54184 Å.
Peak positions follow from Bragg's law for the DFT cell and can differ from measured ones.

Peak list (10 most intense, 15° ≤ 2θ ≤ 90°, in order of rising 2θ)
d (Å)	I_rel
3.651	15
2.915	100
2.398	60
1.933	30
1.835	32
1.826	11
1.553	15
1.457	12
1.294	19
1.186	12

Crystal structure
```
data_TiTe
_symmetry_space_group_name_H-M 'P 1'
_symmetry_Int_Tables_number 1
_symmetry_space_group_name_Hall 'P 1'
_cell_length_a 3.671
_cell_length_b 3.671
_cell_length_c 7.302
_cell_angle_alpha 90.00
_cell_angle_beta 90.00
_cell_angle_gamma 120.00
loop_
_atom_site_label
_atom_site_fract_x
_atom_site_fract_y
_atom_site_fract_z
_atom_site_occupancy
Ti1 0.000 0.000 0.000 1
Ti2 0.000 0.000 0.500 1
Te1 0.333 0.667 0.250 1
Te2 0.667 0.333 0.750 1
```